No. 1
Starting from a cell relaxed with GGA-PBE, the XRD peak list of Na5As7Pd9 was computed for a wavelength of 1.5418 Å.
Kinematic intensities with the Lorentz-polarization factor, no thermal factor.

Cell and atoms:
```
Na5As7Pd9
1.0
10.2275 0.0000 0.0000
-5.1137 8.8573 0.0000
0.0000 0.0000 4.1815
Na As Pd
5 7 9
Direct
0.0000 0.0000 0.0000
0.1133 0.5624 0.5000
0.4376 0.5509 0.5000
0.4491 0.8867 0.5000
0.6667 0.3333 0.5000
0.0492 0.7974 0.5000
0.2026 0.2518 0.5000
0.3333 0.6667 0.0000
0.4530 0.0914 0.0000
0.6384 0.5470 0.0000
0.7482 0.9508 0.5000
0.9086 0.3616 0.0000
0.1608 0.3743 0.0000
0.2135 0.8392 0.0000
0.2889 0.0625 0.5000
0.3890 0.2935 0.0000
0.6257 0.7865 0.0000
0.7065 0.0955 0.0000
0.7736 0.7111 0.5000
0.9045 0.6110 0.0000
0.9375 0.2264 0.5000
```

Principal peaks in the range 2θ from 10° to 90°, low angle first:
Position (°2θ)	intensity
17.34	43.5
20.05	25.9
23.53	23.6
34.31	100.0
42.69	68.6
43.27	36.6
46.40	37.7
47.00	39.2
65.81	29.8
79.02	20.1

***

No. 2
Starting from a cell relaxed with GGA-PBE, the XRD peak list of Rb2AgC3S3N3 was computed for a wavelength of 1.5418 Å.
Kinematic intensities with the Lorentz-polarization factor, no thermal factor.

Cell and atoms:
```
Rb2AgC3S3N3
1.0
9.2613 0.0000 0.0000
0.0000 15.9148 0.0000
-2.3431 0.0000 7.4303
Rb Ag C S N
8 4 12 12 12
Direct
0.1446 0.0057 0.3253
0.1446 0.4943 0.8253
0.3102 0.1566 0.9588
0.3102 0.3434 0.4588
0.6898 0.6566 0.5412
0.6898 0.8434 0.0412
0.8554 0.5057 0.1747
0.8554 0.9943 0.6747
0.2554 0.7409 0.2711
0.2554 0.7591 0.7711
0.7446 0.2409 0.2289
0.7446 0.2591 0.7289
0.0207 0.1894 0.5732
0.0207 0.3106 0.0732
0.2450 0.5474 0.3785
0.2450 0.9526 0.8785
0.4450 0.1513 0.4958
0.4450 0.3487 0.9958
0.5550 0.6513 0.0042
0.5550 0.8487 0.5042
0.7550 0.0474 0.1215
0.7550 0.4526 0.6215
0.9793 0.6894 0.9268
0.9793 0.8106 0.4268
0.0581 0.7167 0.4564
0.0581 0.7833 0.9564
0.3442 0.5893 0.2578
0.3442 0.9107 0.7578
0.4353 0.6365 0.8028
0.4353 0.8635 0.3028
0.5647 0.1365 0.6972
0.5647 0.3635 0.1972
0.6558 0.0893 0.2422
0.6558 0.4107 0.7422
0.9419 0.2167 0.0436
0.9419 0.2833 0.5436
0.0792 0.1223 0.5960
0.0792 0.3777 0.0960
0.1744 0.5154 0.4653
0.1744 0.9846 0.9653
0.3559 0.1608 0.3514
0.3559 0.3392 0.8514
0.6441 0.6608 0.1486
0.6441 0.8392 0.6486
0.8256 0.0154 0.0347
0.8256 0.4846 0.5347
0.9208 0.6223 0.9040
0.9208 0.8777 0.4040
```

Principal peaks in the range 2θ from 10° to 90°, low angle first:
Position (°2θ)	intensity
11.46	83.5
23.69	73.8
24.52	98.7
26.23	94.2
26.95	94.2
28.63	80.9
28.72	79.8
29.29	100.0
29.84	92.5
42.76	67.3

***

No. 3
Starting from a cell relaxed with GGA-PBE, the XRD peak list of PrDyTlNi2 was computed for a wavelength of 1.5418 Å.
Kinematic intensities with the Lorentz-polarization factor, no thermal factor.

Cell and atoms:
```
PrDyTlNi2
1.0
3.7504 0.0000 0.0000
0.0000 1.9879 7.3463
0.0000 -1.9879 7.3463
Pr Dy Tl Ni
1 1 1 2
Direct
0.0000 0.0000 0.0000
0.0000 0.7232 0.7232
0.5000 0.3577 0.3577
0.5000 0.1649 0.1649
0.5000 0.5696 0.5696
```

Principal peaks in the range 2θ from 10° to 90°, low angle first:
Position (°2θ)	intensity
28.93	49.3
33.41	100.0
34.17	70.8
38.08	35.3
45.64	22.3
48.55	18.6
55.22	19.8
57.51	15.0
58.22	30.7
63.31	15.8

***

No. 4
Starting from a cell relaxed with GGA-PBE, the XRD peak list of KAg2AsSeS3 was computed for a wavelength of 1.5418 Å.
Kinematic intensities with the Lorentz-polarization factor, no thermal factor.

Cell and atoms:
```
KAg2AsSeS3
1.0
4.3625 -4.8145 0.0000
4.3625 4.8145 0.0000
-4.2571 0.0000 4.8396
K Ag As Se S
1 2 1 1 3
Direct
0.0000 0.0000 0.0000
0.2574 0.7439 0.4921
0.7439 0.2574 0.4921
0.4846 0.4846 0.9752
0.8370 0.8370 0.3741
0.1544 0.5326 0.9818
0.4460 0.4460 0.5997
0.5326 0.1544 0.9818
```

Principal peaks in the range 2θ from 10° to 90°, low angle first:
Position (°2θ)	intensity
26.11	38.4
27.22	48.0
27.60	100.0
27.83	60.3
37.15	30.7
37.36	34.6
46.52	28.7
47.24	41.9
49.24	33.6
49.97	26.4

***

No. 5
Starting from a cell relaxed with GGA-PBE, the XRD peak list of Tb3Pb7 was computed for a wavelength of 1.5418 Å.
Kinematic intensities with the Lorentz-polarization factor, no thermal factor.

Cell and atoms:
```
Tb3Pb7
1.0
2.2795 -13.5255 0.0000
2.2795 13.5255 0.0000
0.0000 0.0000 4.6225
Tb Pb
3 7
Direct
0.0000 0.0000 0.0000
0.3088 0.6912 0.5000
0.6912 0.3088 0.5000
0.0970 0.9030 0.5000
0.2087 0.7913 0.0000
0.4026 0.5974 0.0000
0.5000 0.5000 0.5000
0.5974 0.4026 0.0000
0.7913 0.2087 0.0000
0.9030 0.0970 0.5000
```

Principal peaks in the range 2θ from 10° to 90°, low angle first:
Position (°2θ)	intensity
32.16	100.0
33.12	21.0
38.97	15.5
39.53	14.9
52.04	12.0
52.50	11.7
58.55	14.4
66.33	12.9
67.10	12.5
67.28	11.3

***

No. 6
Starting from a cell relaxed with GGA-PBE, the XRD peak list of LuSbPO was computed for a wavelength of 1.5418 Å.
Kinematic intensities with the Lorentz-polarization factor, no thermal factor.

Cell and atoms:
```
LuSbPO
1.0
4.8539 0.0000 0.0000
0.0000 6.7345 0.0000
0.0000 0.0000 6.3785
Lu Sb P O
2 2 2 2
Direct
0.0000 0.1657 0.0000
0.0000 0.8343 0.5000
0.5000 0.2877 0.5655
0.5000 0.7123 0.0655
0.5000 0.3591 0.9536
0.5000 0.6409 0.4536
0.0000 0.0540 0.2901
0.0000 0.9460 0.7901
```

Principal peaks in the range 2θ from 10° to 90°, low angle first:
Position (°2θ)	intensity
22.58	30.8
26.47	15.1
26.60	100.0
27.98	28.7
30.01	19.4
37.04	21.2
44.47	16.0
47.05	14.0
48.67	15.7
53.36	17.2

***

No. 7
Starting from a cell relaxed with GGA-PBE, the XRD peak list of YLuZn2Ge2 was computed for a wavelength of 1.5418 Å.
Kinematic intensities with the Lorentz-polarization factor, no thermal factor.

Cell and atoms:
```
YLuZn2Ge2
1.0
4.2218 0.0000 0.0000
-2.1109 3.6562 0.0000
0.0000 0.0000 15.4781
Y Lu Zn Ge
2 2 4 4
Direct
0.0000 0.0000 0.2500
0.0000 0.0000 0.7500
0.0000 0.0000 0.0000
0.0000 0.0000 0.5000
0.3333 0.6667 0.1452
0.3333 0.6667 0.3548
0.6667 0.3333 0.6452
0.6667 0.3333 0.8548
0.3333 0.6667 0.6109
0.3333 0.6667 0.8891
0.6667 0.3333 0.1109
0.6667 0.3333 0.3891
```

Principal peaks in the range 2θ from 10° to 90°, low angle first:
Position (°2θ)	intensity
11.43	6.5
24.34	9.9
26.97	8.3
33.73	100.0
42.84	52.3
46.96	8.5
55.60	23.6
65.44	19.4
72.65	20.9
78.48	8.9

***

No. 8
Starting from a cell relaxed with GGA-PBE, the XRD peak list of NdAl3Ir was computed for a wavelength of 1.5418 Å.
Kinematic intensities with the Lorentz-polarization factor, no thermal factor.

Cell and atoms:
```
NdAl3Ir
1.0
-2.1424 2.1424 5.4356
2.1424 -2.1424 5.4356
2.1424 2.1424 -5.4356
Nd Al Ir
1 3 1
Direct
0.0000 0.0000 0.0000
0.2510 0.7510 0.5000
0.4104 0.4104 0.0000
0.7510 0.2510 0.5000
0.6349 0.6349 0.0000
```

Principal peaks in the range 2θ from 10° to 90°, low angle first:
Position (°2θ)	intensity
16.31	41.5
22.30	41.0
29.48	60.4
32.36	100.0
33.87	55.5
42.18	42.2
46.86	35.3
54.14	47.1
59.44	15.5
64.86	26.8